Theoretical powder X-ray diffraction pattern of RbB3Te2O9 for Cu Kα (λ = 1.5418 Å), from a cell relaxed with GGA-PBE.
Kinematic intensities with the Lorentz-polarization factor, no thermal factor.

Largest 12 diffraction maxima, most intense first, 2θ from 10° to 80°:
index	2θ (°)	intensity
1 1 -1	21.34	100
0 1 3	25.65	75
2 0 -2	29.28	40
1 0 2	22.29	28
0 0 2	13.47	26
0 2 3	37.68	21
3 1 -3	47.48	20
0 2 0	31.42	17
2 1 -5	42.66	16
1 2 2	38.86	14
2 1 1	35.71	13
1 1 5	43.78	12

Cell and atoms:
```
30
Lattice="6.2465 0.0000 0.0000 0.0000 5.6952 0.0000 -3.3509 0.0000 13.1432" Properties=species:S:1:pos:R:3 pbc="T T T"
Rb -0.8377 1.0015 3.2858
Rb -2.5131 4.6936 9.8574
B -1.9134 1.9542 12.3844
B -0.2380 3.7410 5.8128
B 0.6101 1.9324 9.8574
B 2.2855 3.7627 3.2858
B 3.1336 1.9542 7.3303
B 4.8091 3.7410 0.7588
Te -0.0348 1.1689 7.4210
Te 1.6406 4.5263 0.8495
Te 1.2550 1.1689 12.2937
Te 2.9305 4.5263 5.7221
O -2.9026 1.1379 11.8905
O -1.2272 4.5572 5.3189
O -0.4832 2.3560 5.9122
O -2.1586 3.3392 12.4838
O 0.1475 2.6417 8.7370
O 1.8230 3.0535 2.1654
O -0.7252 1.3782 12.7516
O 0.9502 4.3170 6.1800
O 0.6101 0.5783 9.8574
O 2.2855 5.1169 3.2858
O 1.9455 1.3782 6.9631
O 3.6209 4.3170 0.3915
O 1.0727 2.6417 10.9778
O 2.7481 3.0535 4.4062
O 5.0542 2.3560 0.6594
O 3.3788 3.3392 7.2310
O 4.1228 1.1379 7.8243
O 5.7982 4.5572 1.2527
```